# 1
The following is a theoretical XRD peak list of CsLiAlH6. It was derived from a GGA-PBE-relaxed structure, using Cu Kα.
Lines closer than 0.1° are merged.

Cell and atoms:
```
9
Lattice="4.919 0.000 0.000 -2.460 4.260 0.000 0.000 0.000 6.095" Properties=species:S:1:pos:R:3 pbc="T T T"
Cs 0.000 0.000 0.000
Li 0.000 2.840 3.048
Al 2.460 1.420 3.048
H 2.101 0.088 4.116
H 1.126 1.776 1.979
H 2.818 0.088 1.979
H 1.485 2.397 4.116
H 3.793 1.776 4.116
H 3.434 2.397 1.979
```

Peak list (6 most intense, 2θ = 5–70°, by angle)
| hkl | 2θ/deg | I (rel.) |
| --- | --- | --- |
| 0 0 1 | 14.53 | 22 |
| 1 0 0 | 20.85 | 46 |
| 1 0 1 | 25.51 | 100 |
| 1 0 2 | 36.24 | 24 |
| 1 1 0 | 36.53 | 22 |
| 2 -1 2 | 47.50 | 22 |

---

# 2
The following is a theoretical XRD peak list of CsSrAlH6. It was derived from a GGA-PBE-relaxed structure, using Cu Kα.
Lines closer than 0.1° are merged.

Cell and atoms:
```
9
Lattice="5.708 0.000 0.000 -2.854 4.944 0.000 0.000 0.000 5.966" Properties=species:S:1:pos:R:3 pbc="T T T"
Cs 0.000 0.000 0.000
Sr 0.000 3.296 2.983
Al 2.854 1.648 2.983
H 2.206 0.370 4.024
H 1.424 1.725 1.942
H 3.502 0.370 1.942
H 2.072 2.848 4.024
H 4.285 1.725 4.024
H 3.637 2.848 1.942
```

Peak list (6 most intense, 2θ = 5–70°, by angle)
| hkl | 2θ/deg | I (rel.) |
| --- | --- | --- |
| 1 0 0 | 17.94 | 17 |
| 1 0 1 | 23.37 | 100 |
| 1 1 0 | 31.34 | 36 |
| 2 0 1 | 39.46 | 25 |
| 2 -1 2 | 43.90 | 29 |
| 3 -1 1 | 51.23 | 23 |

---

# 3
The following is a theoretical XRD peak list of CsAlTcH6. It was derived from a GGA-PBE-relaxed structure, using Cu Kα.
Lines closer than 0.1° are merged.

Cell and atoms:
```
9
Lattice="4.431 0.000 0.000 -1.927 4.070 0.000 -0.011 -0.012 6.395" Properties=species:S:1:pos:R:3 pbc="T T T"
Cs 0.000 0.000 0.000
Al 0.259 2.648 3.199
Tc 2.478 1.224 3.200
H 0.215 4.048 4.397
H 0.250 4.048 1.995
H 1.408 1.812 2.030
H 1.422 1.833 4.371
H 3.348 2.177 2.018
H 3.367 2.143 4.393
```

Peak list (6 most intense, 2θ = 5–70°, by angle)
| hkl | 2θ/deg | I (rel.) |
| --- | --- | --- |
| 0 1 1 | 25.95 | 88 |
| 1 0 -1 | 26.26 | 87 |
| 1 -1 1 | 27.44 | 100 |
| 0 0 2 | 27.90 | 61 |
| 1 1 0 | 37.65 | 28 |
| 1 1 -2 | 47.49 | 25 |